Entry 1:
Starting from a crystal structure in Alexandria, relaxed with PBE, the powder diffraction line list of Ce3PrO8 was calculated for Cu Kα (λ = 1.5418 Å).

```
data_Ce3PrO8
_chemical_formula_sum 'Ce6 Pr2 O16'
_symmetry_space_group_name_H-M 'I 4/m m m'
_symmetry_Int_Tables_number 139
_symmetry_space_group_name_Hall '-I 4 2'
_cell_length_a 5.5183
_cell_length_b 5.5183
_cell_length_c 11.0486
_cell_angle_alpha 90.00
_cell_angle_beta 90.00
_cell_angle_gamma 90.00
loop_
_atom_site_label
_atom_site_fract_x
_atom_site_fract_y
_atom_site_fract_z
Ce1 0.0000 0.0000 0.0000
Ce2 0.0000 0.5000 0.2500
Pr1 0.0000 0.0000 0.5000
O1 0.2435 0.2435 0.1281
```

The 9 most intense peaks (15 to 90 degrees two-theta), by angle:
Position (°2θ)  intensity  h k l
28.00  100  1 1 2
32.44  29  2 0 0
46.53  55  2 2 0
55.18  45  3 1 2
57.86  8  2 2 4
67.92  8  4 0 0
75.00  18  3 3 2
77.30  12  4 2 0
86.34  17  4 2 4



Entry 2:
Starting from a crystal structure in Alexandria, relaxed with PBE, the powder diffraction line list of Sr4CePrO8 was calculated for Cu Kα (λ = 1.5418 Å).

```
data_Sr4CePrO8
_chemical_formula_sum 'Sr4 Ce1 Pr1 O8'
_symmetry_space_group_name_H-M 'P 1 2/m 1'
_symmetry_Int_Tables_number 10
_symmetry_space_group_name_Hall '-P 2y'
_cell_length_a 6.2112
_cell_length_b 3.6742
_cell_length_c 10.4687
_cell_angle_alpha 90.00
_cell_angle_beta 90.14
_cell_angle_gamma 90.00
loop_
_atom_site_label
_atom_site_fract_x
_atom_site_fract_y
_atom_site_fract_z
Sr1 0.0639 0.0000 0.1770
Sr2 0.4363 0.0000 0.6783
Ce1 0.5000 0.5000 0.0000
Pr1 0.0000 0.5000 0.5000
O1 0.1492 0.5000 0.7069
O2 0.2400 0.0000 0.4563
O3 0.2750 0.0000 0.9593
O4 0.3570 0.5000 0.1912
```

The 10 most intense peaks (15 to 90 degrees two-theta), by angle:
Position (°2θ)  intensity  h k l
16.60  28  1 0 -1
28.75  28  2 0 0
29.36  89  1 0 3
29.51  100  1 1 -1
29.71  39  0 1 2
38.93  22  2 1 -1
41.81  52  2 1 2
51.40  19  3 0 3
52.42  44  0 0 6
58.71  26  1 2 3



Entry 3:
Starting from a crystal structure in Alexandria, relaxed with PBE, the powder diffraction line list of RbCePtO4 was calculated for Cu Kα (λ = 1.5418 Å).

```
data_RbCePtO4
_chemical_formula_sum 'Rb4 Ce4 Pt4 O16'
_symmetry_space_group_name_H-M 'I m m a'
_symmetry_Int_Tables_number 74
_symmetry_space_group_name_Hall '-I 2b 2'
_cell_length_a 6.1086
_cell_length_b 6.9614
_cell_length_c 12.5947
_cell_angle_alpha 90.00
_cell_angle_beta 90.00
_cell_angle_gamma 90.00
loop_
_atom_site_label
_atom_site_fract_x
_atom_site_fract_y
_atom_site_fract_z
Rb1 0.0000 0.2500 0.1677
Ce1 0.0000 0.0000 0.5000
Pt1 0.2500 0.2500 0.7500
O1 0.0000 0.0755 0.7084
O2 0.2111 0.2500 0.4849
```

The 10 most intense peaks (15 to 90 degrees two-theta), by angle:
Position (°2θ)  intensity  h k l
16.13  53  1 0 1
24.77  65  0 1 3
25.75  58  1 0 3
28.34  60  0 0 4
29.32  100  0 2 2
30.40  56  1 2 1
32.80  88  2 1 1
38.68  41  2 1 3
49.11  75  2 2 4
52.57  48  0 4 0



Entry 4:
Starting from a crystal structure in Alexandria, relaxed with PBE, the powder diffraction line list of CeTlPtO6 was calculated for Cu Kα (λ = 1.5418 Å).

```
data_CeTlPtO6
_chemical_formula_sum 'Ce2 Tl2 Pt2 O12'
_symmetry_space_group_name_H-M 'P 42 n m'
_symmetry_Int_Tables_number 102
_symmetry_space_group_name_Hall 'P 4n -2n'
_cell_length_a 5.0142
_cell_length_b 5.0142
_cell_length_c 10.2151
_cell_angle_alpha 90.00
_cell_angle_beta 90.00
_cell_angle_gamma 90.00
loop_
_atom_site_label
_atom_site_fract_x
_atom_site_fract_y
_atom_site_fract_z
Ce1 0.0000 0.0000 0.0000
Tl1 0.0000 0.0000 0.6679
Pt1 0.0000 0.0000 0.3335
O1 0.1816 0.1816 0.1807
O2 0.1847 0.1847 0.4808
O3 0.2205 0.2205 0.8385
```

The 10 most intense peaks (15 to 90 degrees two-theta), by angle:
Position (°2θ)  intensity  h k l
25.12  100  1 1 0
31.77  92  1 0 3
35.82  28  2 0 0
48.62  70  2 1 3
51.55  16  2 2 0
58.18  17  3 1 0
60.31  18  1 1 6
61.84  20  3 0 3
73.57  16  3 2 3
84.62  13  4 1 3